Calculated powder XRD pattern
Compound: CeBrO
Radiation: Cu Kα
Structure: a DFT-relaxed cell (GGA-PBE, the Materials Project)
Kinematic intensities with the Lorentz-polarization factor, no thermal factor.

Main lines, low angle first (2θ from 10° to 90°):
| Position (°2θ) | d_spacing | intensity |
| --- | --- | --- |
| 26.4 | 3.374 | 53 |
| 29.7 | 3.007 | 100 |
| 33.1 | 2.705 | 44 |
| 35.5 | 2.531 | 19 |
| 39.5 | 2.283 | 19 |
| 41.9 | 2.158 | 12 |
| 45.4 | 1.998 | 47 |
| 55.2 | 1.664 | 21 |
| 58.9 | 1.568 | 26 |
| 74.2 | 1.279 | 16 |

```
CeBrO
1.0
1.9977 1.1534 10.1233
-1.9977 1.1534 10.1233
0.0000 -2.3068 10.1233
Ce Br O
2 2 2
Cartesian
0.0000 0.0000 6.5318
0.0000 0.0000 23.8381
0.0000 0.0000 11.7299
0.0000 0.0000 18.6400
0.0000 0.0000 4.1707
0.0000 0.0000 26.1992
```